This entry pairs a crystal structure of Be9Nb2V with its simulated X-ray diffraction stick pattern. Radiation: λ = 1.5418 Å (Cu Kα). Structure: the GGA-PBE geometry in Alexandria.
Peak positions follow from Bragg's law for the DFT cell and can differ from measured ones.

Top 6 peaks for 5° ≤ 2θ ≤ 70°, most intense first:
| h k l | Position (°2θ) | I (rel.) |
| --- | --- | --- |
| 1 0 5 | 39.78 | 100 |
| 0 0 2 | 12.74 | 73 |
| 1 1 0 | 39.90 | 72 |
| 1 0 0 | 22.72 | 58 |
| 1 0 1 | 23.62 | 49 |
| 1 1 4 | 48.03 | 44 |

Structure:
```
data_Be9Nb2V
_cell_length_a 4.5187
_cell_length_b 4.5187
_cell_length_c 13.8975
_cell_angle_alpha 90.00
_cell_angle_beta 90.00
_cell_angle_gamma 120.00
_symmetry_space_group_name_H-M 'P 63/m m c'
_symmetry_Int_Tables_number 194
_symmetry_space_group_name_Hall '-P 6c 2c'
loop_
_atom_site_label
_atom_site_type_symbol
_atom_site_fract_x
_atom_site_fract_y
_atom_site_fract_z
Be1 Be 0.0000 0.0000 0.0000
Be2 Be 0.0000 0.0000 0.2500
Be3 Be 0.1683 0.3367 0.1294
Be4 Be 0.3333 0.6667 0.2500
Nb1 Nb 0.3333 0.6667 0.5404
V1 V 0.3333 0.6667 0.7500
```

***

This entry pairs a crystal structure of NdBeNi with its simulated X-ray diffraction stick pattern. Radiation: λ = 1.5418 Å (Cu Kα). Structure: the GGA-PBE geometry in Alexandria.
Peak positions follow from Bragg's law for the DFT cell and can differ from measured ones.

Top 6 peaks for 5° ≤ 2θ ≤ 70°, most intense first:
| h k l | Position (°2θ) | I (rel.) |
| --- | --- | --- |
| 2 0 1 | 33.46 | 100 |
| 2 1 1 | 36.77 | 60 |
| 3 1 2 | 57.60 | 33 |
| 1 1 1 | 25.77 | 30 |
| 1 1 0 | 20.98 | 19 |
| 3 0 1 | 48.05 | 16 |

Structure:
```
data_NdBeNi
_cell_length_a 5.9878
_cell_length_b 5.9878
_cell_length_c 5.9878
_cell_angle_alpha 90.00
_cell_angle_beta 90.00
_cell_angle_gamma 90.00
_symmetry_space_group_name_H-M 'P 21 3'
_symmetry_Int_Tables_number 198
_symmetry_space_group_name_Hall 'P 2ac 2ab 3'
loop_
_atom_site_label
_atom_site_type_symbol
_atom_site_fract_x
_atom_site_fract_y
_atom_site_fract_z
Nd1 Nd 0.1448 0.3552 0.6448
Be1 Be 0.1543 0.1543 0.1543
Ni1 Ni 0.0801 0.9199 0.4199
```

***

This entry pairs a crystal structure of Nd2Be4NiPt3 with its simulated X-ray diffraction stick pattern. Radiation: λ = 1.5418 Å (Cu Kα). Structure: the GGA-PBE geometry in Alexandria.
Peak positions follow from Bragg's law for the DFT cell and can differ from measured ones.

Top 6 peaks for 5° ≤ 2θ ≤ 70°, most intense first:
| h k l | Position (°2θ) | I (rel.) |
| --- | --- | --- |
| 1 0 3 | 35.68 | 100 |
| 1 1 1 | 32.84 | 92 |
| 1 1 2 | 36.66 | 89 |
| 1 0 2 | 28.87 | 86 |
| 2 0 0 | 45.11 | 71 |
| 2 1 3 | 58.80 | 48 |

Structure:
```
data_Nd2Be4NiPt3
_cell_length_a 4.0199
_cell_length_b 4.0199
_cell_length_c 9.6802
_cell_angle_alpha 90.00
_cell_angle_beta 90.00
_cell_angle_gamma 90.00
_symmetry_space_group_name_H-M 'P -4 m 2'
_symmetry_Int_Tables_number 115
_symmetry_space_group_name_Hall 'P -4 -2'
loop_
_atom_site_label
_atom_site_type_symbol
_atom_site_fract_x
_atom_site_fract_y
_atom_site_fract_z
Nd1 Nd 0.0000 0.5000 0.2458
Be1 Be 0.0000 0.0000 0.5000
Be2 Be 0.0000 0.5000 0.8841
Be3 Be 0.5000 0.5000 0.5000
Ni1 Ni 0.5000 0.5000 0.0000
Pt1 Pt 0.0000 0.0000 0.0000
Pt2 Pt 0.0000 0.5000 0.6263
```